1.
Diffraction record for MgV2Cr4O12. The PXRD pattern is theoretical, not measured: it uses a PBE+U-relaxed structure and Cu Kα.
Intensities are scaled so that the largest is 100.

The 8 most intense peaks (15° ≤ 2θ ≤ 90°), most intense first:
35.90°, d = 2.501 Å, I 100
26.07°, d = 3.418 Å, I 96
26.95°, d = 3.309 Å, I 89
53.57°, d = 1.711 Å, I 60
52.56°, d = 1.741 Å, I 39
67.34°, d = 1.391 Å, I 26
52.76°, d = 1.735 Å, I 23
53.73°, d = 1.706 Å, I 22

Cell and atoms:
Unit cell a=4.7367 b=8.8243 c=4.7776 alpha=90.00 beta=91.85 gamma=90.00
Element x y z (fractional)
1 Mg 0.0000 0.0000 0.0000
2 V 0.4613 0.5000 0.0335
3 V 0.9962 0.0000 0.4992
4 Cr 0.4992 0.1749 0.9962
5 Cr 0.4992 0.8251 0.9962
6 Cr 0.9953 0.3350 0.5023
7 Cr 0.9953 0.6650 0.5023
8 O 0.1652 0.1614 0.2797
9 O 0.1652 0.8386 0.2797
10 O 0.1871 0.5000 0.2882
11 O 0.3163 0.3464 0.7962
12 O 0.3163 0.6536 0.7962
13 O 0.3235 0.0000 0.7741
14 O 0.6718 0.0000 0.2209
15 O 0.6792 0.3463 0.2006
16 O 0.6792 0.6537 0.2006
17 O 0.8239 0.5000 0.6860
18 O 0.8281 0.1609 0.7200
19 O 0.8281 0.8391 0.7200

***

2.
Diffraction record for Li4Mn3V3Te2O16. The PXRD pattern is theoretical, not measured: it uses a PBE+U-relaxed structure and Cu Kα.
Intensities are scaled so that the largest is 100.

The 8 most intense peaks (15° ≤ 2θ ≤ 90°), most intense first:
19.36°, d = 4.584 Å, I 100
31.40°, d = 2.849 Å, I 33
18.73°, d = 4.738 Å, I 30
34.56°, d = 2.595 Å, I 29
34.24°, d = 2.619 Å, I 28
35.33°, d = 2.540 Å, I 27
31.61°, d = 2.831 Å, I 26
17.33°, d = 5.116 Å, I 25

Cell and atoms:
Unit cell a=6.0669 b=6.0669 c=10.2238 alpha=90.60 beta=90.60 gamma=57.70
Element x y z (fractional)
1 Li 0.0000 0.0000 0.0000
2 Li 0.0003 0.0003 0.4984
3 Li 0.3278 0.3278 0.9098
4 Li 0.6524 0.6524 0.4144
5 Mn 0.1631 0.6578 0.2225
6 Mn 0.6578 0.1631 0.2225
7 Mn 0.8300 0.8300 0.7240
8 V 0.1697 0.1697 0.2399
9 V 0.3469 0.8279 0.7286
10 V 0.8279 0.3469 0.7286
11 Te 0.3388 0.3388 0.5054
12 Te 0.6639 0.6639 0.0122
13 O 0.0034 0.0034 0.3097
14 O 0.0107 0.4631 0.3400
15 O 0.1402 0.1402 0.6225
16 O 0.1679 0.6735 0.6043
17 O 0.3168 0.3168 0.1250
18 O 0.3277 0.8337 0.1079
19 O 0.4631 0.0107 0.3400
20 O 0.4698 0.4698 0.3607
21 O 0.4932 0.9699 0.8291
22 O 0.5106 0.5106 0.8402
23 O 0.6547 0.6547 0.6158
24 O 0.6735 0.1679 0.6043
25 O 0.8337 0.3277 0.1079
26 O 0.8372 0.8372 0.1062
27 O 0.9699 0.4932 0.8291
28 O 0.9995 0.9995 0.8148

***

3.
Diffraction record for Li2CoSiO4. The PXRD pattern is theoretical, not measured: it uses a PBE+U-relaxed structure and Cu Kα.
Intensities are scaled so that the largest is 100.

The 8 most intense peaks (15° ≤ 2θ ≤ 90°), most intense first:
23.89°, d = 3.725 Å, I 100
16.25°, d = 5.454 Å, I 67
33.26°, d = 2.693 Å, I 66
35.20°, d = 2.549 Å, I 51
28.82°, d = 3.098 Å, I 44
33.55°, d = 2.671 Å, I 37
58.90°, d = 1.568 Å, I 31
62.12°, d = 1.494 Å, I 25

Cell and atoms:
Unit cell a=10.9079 b=6.1952 c=5.0990 alpha=90.00 beta=90.00 gamma=90.00
Element x y z (fractional)
1 Li 0.1684 0.0045 0.2006
2 Li 0.1684 0.4955 0.2006
3 Li 0.3316 0.5045 0.7006
4 Li 0.3316 0.9955 0.7006
5 Li 0.6684 0.0045 0.2994
6 Li 0.6684 0.4955 0.2994
7 Li 0.8316 0.5045 0.7994
8 Li 0.8316 0.9955 0.7994
9 Co 0.0755 0.7500 0.8073
10 Co 0.4245 0.2500 0.3073
11 Co 0.5755 0.7500 0.6927
12 Co 0.9245 0.2500 0.1927
13 Si 0.0859 0.2500 0.6894
14 Si 0.4141 0.7500 0.1894
15 Si 0.5859 0.2500 0.8106
16 Si 0.9141 0.7500 0.3106
17 O 0.0572 0.7500 0.2050
18 O 0.0864 0.2500 0.3646
19 O 0.1602 0.0342 0.7958
20 O 0.1602 0.4658 0.7958
21 O 0.3398 0.5342 0.2958
22 O 0.3398 0.9658 0.2958
23 O 0.4136 0.7500 0.8646
24 O 0.4428 0.2500 0.7050
25 O 0.5572 0.7500 0.2950
26 O 0.5864 0.2500 0.1354
27 O 0.6602 0.0342 0.7042
28 O 0.6602 0.4658 0.7042
29 O 0.8398 0.5342 0.2042
30 O 0.8398 0.9658 0.2042
31 O 0.9136 0.7500 0.6354
32 O 0.9428 0.2500 0.7950

***

4.
Diffraction record for SrFeO2. The PXRD pattern is theoretical, not measured: it uses a PBE+U-relaxed structure and Cu Kα.
Intensities are scaled so that the largest is 100.

The 8 most intense peaks (15° ≤ 2θ ≤ 90°), most intense first:
33.87°, d = 2.646 Å, I 100
57.22°, d = 1.610 Å, I 42
31.17°, d = 2.869 Å, I 37
44.67°, d = 2.029 Å, I 33
71.27°, d = 1.323 Å, I 15
62.26°, d = 1.491 Å, I 11
40.71°, d = 2.217 Å, I 10
52.42°, d = 1.745 Å, I 10

Cell and atoms:
Unit cell a=4.0574 b=4.0574 c=3.4910 alpha=90.00 beta=90.00 gamma=90.00
Element x y z (fractional)
1 Sr 0.0000 0.0000 0.0000
2 Fe 0.5000 0.5000 0.5000
3 O 0.0000 0.5000 0.5000
4 O 0.5000 0.0000 0.5000

***

5.
Diffraction record for Fe3OF5. The PXRD pattern is theoretical, not measured: it uses a PBE+U-relaxed structure and Cu Kα.
Intensities are scaled so that the largest is 100.

The 8 most intense peaks (15° ≤ 2θ ≤ 90°), most intense first:
26.11°, d = 3.413 Å, I 100
51.15°, d = 1.786 Å, I 64
33.76°, d = 2.655 Å, I 58
38.71°, d = 2.326 Å, I 21
53.72°, d = 1.706 Å, I 20
64.69°, d = 1.441 Å, I 13
65.08°, d = 1.433 Å, I 11
64.85°, d = 1.438 Å, I 11

Cell and atoms:
Unit cell a=3.1791 b=4.8358 c=14.4508 alpha=90.00 beta=90.00 gamma=90.00
Element x y z (fractional)
1 Fe 0.0000 0.2179 0.0000
2 Fe 0.0000 0.2345 0.3473
3 Fe 0.0000 0.2607 0.6769
4 Fe 0.5000 0.7393 0.1769
5 Fe 0.5000 0.7655 0.8473
6 Fe 0.5000 0.7821 0.5000
7 O 0.0000 0.9411 0.4475
8 O 0.5000 0.0589 0.9475
9 F 0.0000 0.5391 0.2454
10 F 0.0000 0.5419 0.9138
11 F 0.0000 0.5609 0.5740
12 F 0.0000 0.9542 0.7726
13 F 0.0000 0.9564 0.1097
14 F 0.5000 0.0436 0.6097
15 F 0.5000 0.0458 0.2726
16 F 0.5000 0.4391 0.0740
17 F 0.5000 0.4581 0.4138
18 F 0.5000 0.4609 0.7454

***

6.
Diffraction record for Li2CoSiO4. The PXRD pattern is theoretical, not measured: it uses a PBE+U-relaxed structure and Cu Kα.
Intensities are scaled so that the largest is 100.

The 8 most intense peaks (15° ≤ 2θ ≤ 90°), most intense first:
22.65°, d = 3.925 Å, I 100
21.76°, d = 4.084 Å, I 79
33.04°, d = 2.712 Å, I 73
35.71°, d = 2.514 Å, I 67
37.69°, d = 2.387 Å, I 57
59.39°, d = 1.556 Å, I 41
33.34°, d = 2.688 Å, I 40
24.14°, d = 3.687 Å, I 39

Cell and atoms:
Unit cell a=10.7507 b=6.2808 c=5.0280 alpha=90.00 beta=90.00 gamma=90.00
Element x y z (fractional)
1 Li 0.0873 0.2493 0.0000
2 Li 0.1698 0.5045 0.5006
3 Li 0.3302 0.0045 0.0006
4 Li 0.4127 0.7493 0.5000
5 Li 0.5873 0.2507 0.0000
6 Li 0.6698 0.9955 0.5006
7 Li 0.8302 0.4955 0.0006
8 Li 0.9127 0.7507 0.5000
9 Co 0.0853 0.7598 0.0028
10 Co 0.4147 0.2598 0.5028
11 Co 0.5853 0.7402 0.0028
12 Co 0.9147 0.2402 0.5028
13 Si 0.1672 0.0052 0.5061
14 Si 0.3328 0.5052 0.0061
15 Si 0.6672 0.4948 0.5061
16 Si 0.8328 0.9948 0.0061
17 O 0.0936 0.2221 0.4000
18 O 0.0951 0.7870 0.4012
19 O 0.1672 0.0054 0.8337
20 O 0.1869 0.5073 0.8987
21 O 0.3131 0.0073 0.3987
22 O 0.3328 0.5054 0.3337
23 O 0.4049 0.2870 0.9012
24 O 0.4064 0.7221 0.9000
25 O 0.5936 0.2779 0.4000
26 O 0.5951 0.7130 0.4012
27 O 0.6672 0.4946 0.8337
28 O 0.6869 0.9927 0.8987
29 O 0.8131 0.4927 0.3987
30 O 0.8328 0.9946 0.3337
31 O 0.9049 0.2130 0.9012
32 O 0.9064 0.7779 0.9000